For LiAg6, DFT lattice parameters and positions (PBE) gives the theoretical XRD peak list in this record (Cu Ka).

Structure:
```
LiAg6
1.0
2.315 1.337 6.637
-2.315 1.337 6.637
0.000 -2.673 6.637
Li Ag
1 6
Direct
0.000 0.000 0.000
0.142 0.142 0.142
0.288 0.288 0.288
0.428 0.428 0.428
0.572 0.572 0.572
0.712 0.712 0.712
0.858 0.858 0.858
```

Most intense lines, 10° ≤ 2θ ≤ 90°, sorted by position:
2theta	d [Å]	I_rel
13.34	6.637	4.8
22.62	3.931	5.4
23.92	3.719	4.2
28.59	3.123	3.5
31.67	2.826	2.6
38.86	2.318	100.0
41.30	2.186	1.8
56.13	1.639	16.2
70.22	1.340	8.0
70.41	1.337	23.9
83.30	1.160	5.0
83.52	1.158	5.1

For PmTl6Hg23, DFT lattice parameters and positions (PBE) gives the theoretical XRD peak list in this record (Cu Ka).

Structure:
```
PmTl6Hg23
1.0
0.000 7.497 7.497
7.497 0.000 7.497
7.497 7.497 0.000
Pm Tl Hg
1 6 23
Direct
0.000 0.000 0.000
0.284 0.284 0.716
0.284 0.716 0.284
0.284 0.716 0.716
0.716 0.284 0.284
0.716 0.284 0.716
0.716 0.716 0.284
0.000 0.000 0.500
0.000 0.500 0.000
0.000 0.500 0.500
0.020 0.660 0.660
0.121 0.121 0.121
0.121 0.121 0.638
0.121 0.638 0.121
0.340 0.340 0.340
0.340 0.340 0.980
0.340 0.980 0.340
0.362 0.879 0.879
0.500 0.000 0.000
0.500 0.000 0.500
0.500 0.500 0.000
0.500 0.500 0.500
0.638 0.121 0.121
0.660 0.020 0.660
0.660 0.660 0.020
0.660 0.660 0.660
0.879 0.362 0.879
0.879 0.879 0.362
0.879 0.879 0.879
0.980 0.340 0.340
```

Most intense lines, 10° ≤ 2θ ≤ 90°, sorted by position:
2theta	d [Å]	I_rel
29.18	3.061	6.6
30.99	2.886	33.8
33.82	2.651	100.0
35.94	2.499	7.2
46.52	1.952	7.5
48.57	1.874	10.5
52.88	1.731	6.7
58.74	1.572	11.1
60.50	1.530	20.6
61.54	1.507	7.8
64.26	1.450	9.0
71.14	1.325	6.3

For LaPm6Er3, DFT lattice parameters and positions (PBE) gives the theoretical XRD peak list in this record (Cu Ka).

Structure:
```
LaPm6Er3
1.0
4.969 2.869 4.003
-4.969 2.869 4.003
0.000 -5.737 4.003
La Pm Er
1 6 3
Direct
0.000 0.000 0.000
0.000 0.331 0.669
0.173 0.827 0.500
0.331 0.669 0.000
0.500 0.173 0.827
0.669 0.000 0.331
0.827 0.500 0.173
0.255 0.255 0.255
0.500 0.500 0.500
0.745 0.745 0.745
```

Most intense lines, 10° ≤ 2θ ≤ 90°, sorted by position:
2theta	d [Å]	I_rel
28.64	3.117	63.5
31.18	2.869	100.0
31.56	2.834	17.5
36.50	2.462	10.4
40.91	2.206	16.2
42.84	2.111	21.2
48.74	1.868	11.2
53.93	1.700	21.5
55.48	1.656	19.6
56.03	1.641	12.2
65.03	1.434	12.1
72.55	1.303	8.8

For Mg2NiH4, DFT lattice parameters and positions (PBE) gives the theoretical XRD peak list in this record (Cu Ka).

Structure:
```
Mg2NiH4
1.0
7.157 -3.190 0.000
7.157 3.190 0.000
-2.555 0.000 5.935
Mg Ni H
8 4 16
Direct
0.023 0.977 0.750
0.224 0.249 0.919
0.249 0.224 0.419
0.476 0.524 0.250
0.524 0.476 0.750
0.751 0.776 0.581
0.776 0.751 0.081
0.977 0.023 0.250
0.111 0.650 0.919
0.350 0.889 0.581
0.650 0.111 0.419
0.889 0.350 0.081
0.095 0.486 0.696
0.112 0.137 0.575
0.137 0.112 0.075
0.179 0.544 0.125
0.280 0.702 0.949
0.298 0.720 0.551
0.456 0.821 0.375
0.486 0.095 0.196
0.514 0.905 0.804
0.544 0.179 0.625
0.702 0.280 0.449
0.720 0.298 0.051
0.821 0.456 0.875
0.863 0.888 0.925
0.888 0.863 0.425
0.905 0.514 0.304
```

Most intense lines, 10° ≤ 2θ ≤ 90°, sorted by position:
2theta	d [Å]	I_rel
19.57	4.536	12.0
23.35	3.810	100.0
24.31	3.661	87.0
37.88	2.375	25.0
39.36	2.289	72.4
39.75	2.268	55.6
40.36	2.235	33.6
45.18	2.007	12.8
46.81	1.941	25.6
47.34	1.920	15.1
55.95	1.643	12.5
72.46	1.304	11.0

For RbPrAs2Pt4, DFT lattice parameters and positions (PBE) gives the theoretical XRD peak list in this record (Cu Ka).

Structure:
```
RbPrAs2Pt4
1.0
4.087 0.000 0.000
0.000 4.087 0.000
0.000 0.000 11.554
Rb Pr As Pt
1 1 2 4
Direct
0.000 0.000 0.000
0.000 0.000 0.500
0.500 0.500 0.185
0.500 0.500 0.815
0.000 0.500 0.304
0.000 0.500 0.696
0.500 0.000 0.304
0.500 0.000 0.696
```

Most intense lines, 10° ≤ 2θ ≤ 90°, sorted by position:
2theta	d [Å]	I_rel
15.34	5.777	64.0
23.09	3.852	29.2
26.72	3.336	36.0
30.95	2.890	23.4
34.71	2.585	83.1
38.97	2.311	100.0
44.33	2.044	54.4
47.18	1.926	23.8
50.57	1.805	52.8
64.49	1.445	20.6
77.98	1.225	30.8
86.23	1.128	18.2

For Fe3Ag, DFT lattice parameters and positions (PBE) gives the theoretical XRD peak list in this record (Cu Ka).

Structure:
```
Fe3Ag
1.0
-1.523 2.124 4.153
1.523 -2.124 4.153
1.523 2.124 -4.153
Fe Ag
3 1
Direct
0.000 0.000 0.000
0.236 0.736 0.500
0.764 0.264 0.500
0.500 0.500 0.000
```

Most intense lines, 10° ≤ 2θ ≤ 90°, sorted by position:
2theta	d [Å]	I_rel
21.39	4.153	4.4
23.52	3.782	4.1
31.28	2.860	4.7
36.29	2.475	2.2
38.82	2.320	4.6
42.52	2.126	100.0
43.58	2.077	17.8
60.83	1.523	6.5
62.55	1.485	11.2
77.05	1.238	6.2
77.83	1.227	17.5
79.29	1.208	10.1

For PaBiBO6, DFT lattice parameters and positions (PBE) gives the theoretical XRD peak list in this record (Cu Ka).

Structure:
```
PaBiBO6
1.0
4.890 0.000 0.000
-0.041 4.914 0.000
-2.232 -0.231 5.491
Pa Bi B O
1 1 1 6
Direct
0.000 0.000 0.000
0.662 0.532 0.396
0.144 0.081 0.504
0.025 0.829 0.388
0.058 0.209 0.675
0.321 0.197 0.395
0.338 0.732 0.084
0.695 0.755 0.732
0.738 0.263 0.094
```

Most intense lines, 10° ≤ 2θ ≤ 90°, sorted by position:
2theta	d [Å]	I_rel
19.60	4.529	33.8
20.17	4.402	52.4
23.80	3.739	65.8
24.83	3.586	69.1
26.46	3.369	66.3
27.08	3.293	100.0
27.36	3.260	25.5
29.93	2.985	38.6
31.09	2.877	33.8
32.62	2.745	25.3
36.62	2.454	28.6
36.80	2.442	36.0

For PmHoZnNi, DFT lattice parameters and positions (PBE) gives the theoretical XRD peak list in this record (Cu Ka).

Structure:
```
PmHoZnNi
1.0
4.428 0.000 0.000
0.000 1.928 5.263
0.000 -1.928 5.263
Pm Ho Zn Ni
1 1 1 1
Direct
0.000 0.000 0.000
0.500 0.717 0.717
0.500 0.424 0.424
0.000 0.291 0.291
```

Most intense lines, 10° ≤ 2θ ≤ 90°, sorted by position:
2theta	d [Å]	I_rel
26.30	3.388	37.6
31.93	2.803	100.0
34.07	2.632	21.3
34.56	2.595	46.6
39.85	2.262	21.2
40.28	2.239	44.8
40.75	2.214	29.1
47.13	1.928	19.1
54.47	1.684	25.3
64.03	1.454	15.0
66.77	1.401	13.1
81.26	1.184	14.9

For Na5Mg2In12, DFT lattice parameters and positions (PBE) gives the theoretical XRD peak list in this record (Cu Ka).

Structure:
```
Na5Mg2In12
1.0
7.758 -4.305 0.000
7.758 4.305 0.000
-0.095 0.000 7.612
Na Mg In
5 2 12
Direct
0.000 0.000 0.000
0.242 0.242 0.084
0.299 0.299 0.499
0.701 0.701 0.501
0.758 0.758 0.916
0.306 0.694 0.500
0.694 0.306 0.500
0.029 0.658 0.242
0.091 0.091 0.412
0.169 0.573 0.832
0.342 0.971 0.758
0.427 0.831 0.168
0.452 0.452 0.179
0.548 0.548 0.821
0.573 0.169 0.832
0.658 0.029 0.242
0.831 0.427 0.168
0.909 0.909 0.588
0.971 0.342 0.758
```

Most intense lines, 10° ≤ 2θ ≤ 90°, sorted by position:
2theta	d [Å]	I_rel
16.51	5.369	45.6
22.93	3.879	51.0
23.37	3.807	37.1
31.07	2.879	48.3
32.73	2.736	62.5
33.18	2.700	33.1
33.37	2.685	100.0
33.89	2.645	84.0
37.37	2.406	42.0
37.82	2.379	31.6
39.05	2.307	46.1
62.86	1.478	34.3

For Sm3Hg8, DFT lattice parameters and positions (PBE) gives the theoretical XRD peak list in this record (Cu Ka).

Structure:
```
Sm3Hg8
1.0
2.521 1.455 12.473
-2.521 1.455 12.473
0.000 -2.910 12.473
Sm Hg
3 8
Direct
0.000 0.000 0.000
0.451 0.451 0.451
0.549 0.549 0.549
0.085 0.085 0.085
0.167 0.167 0.167
0.274 0.274 0.274
0.364 0.364 0.364
0.636 0.636 0.636
0.726 0.726 0.726
0.833 0.833 0.833
0.915 0.915 0.915
```

Most intense lines, 10° ≤ 2θ ≤ 90°, sorted by position:
2theta	d [Å]	I_rel
33.39	2.683	92.2
35.62	2.521	100.0
49.62	1.837	30.7
58.21	1.585	9.7
62.57	1.485	30.9
63.98	1.455	23.0
65.98	1.416	5.4
70.14	1.342	5.6
75.43	1.260	11.7
81.22	1.184	7.7
85.04	1.141	14.5
88.12	1.109	5.3

For Ce2AgGe3Ir4, DFT lattice parameters and positions (PBE) gives the theoretical XRD peak list in this record (Cu Ka).

Structure:
```
Ce2AgGe3Ir4
1.0
4.140 0.000 0.000
0.000 4.140 0.000
0.000 0.000 10.991
Ce Ag Ge Ir
2 1 3 4
Direct
0.000 0.500 0.249
0.500 0.000 0.751
0.500 0.500 0.000
0.000 0.000 0.000
0.000 0.500 0.624
0.500 0.000 0.376
0.000 0.000 0.500
0.000 0.500 0.844
0.500 0.000 0.156
0.500 0.500 0.500
```

Most intense lines, 10° ≤ 2θ ≤ 90°, sorted by position:
2theta	d [Å]	I_rel
24.29	3.664	13.3
31.63	2.829	11.2
32.63	2.744	31.5
34.72	2.584	100.0
43.73	2.070	51.0
45.26	2.003	24.5
46.79	1.941	25.3
55.61	1.653	16.1
63.57	1.464	16.8
65.97	1.416	18.4
74.51	1.273	21.8
81.43	1.182	8.9

For Nd3AgHg5, DFT lattice parameters and positions (PBE) gives the theoretical XRD peak list in this record (Cu Ka).

Structure:
```
Nd3AgHg5
1.0
9.159 0.000 0.000
-4.580 7.932 0.000
0.000 0.000 6.434
Nd Ag Hg
6 2 10
Direct
0.000 0.356 0.250
0.000 0.644 0.750
0.356 0.000 0.250
0.356 0.356 0.750
0.644 0.000 0.750
0.644 0.644 0.250
0.000 0.000 0.000
0.000 0.000 0.500
0.000 0.303 0.750
0.000 0.697 0.250
0.303 0.000 0.750
0.303 0.303 0.250
0.333 0.667 0.000
0.333 0.667 0.500
0.667 0.333 0.000
0.667 0.333 0.500
0.697 0.000 0.250
0.697 0.697 0.750
```

Most intense lines, 10° ≤ 2θ ≤ 90°, sorted by position:
2theta	d [Å]	I_rel
27.73	3.217	7.1
32.96	2.718	13.8
33.90	2.644	100.0
34.06	2.633	95.8
44.35	2.043	8.4
48.82	1.866	32.5
57.27	1.609	8.5
60.73	1.525	44.8
68.25	1.374	26.7
71.34	1.322	8.1
81.46	1.181	13.1
88.25	1.107	11.1

For BaTeP2, DFT lattice parameters and positions (PBE) gives the theoretical XRD peak list in this record (Cu Ka).

Structure:
```
BaTeP2
1.0
2.532 -3.531 0.000
2.532 3.531 0.000
0.000 0.000 6.513
Ba Te P
1 1 2
Direct
0.000 0.000 0.000
0.000 0.000 0.500
0.500 0.500 0.329
0.500 0.500 0.671
```

Most intense lines, 10° ≤ 2θ ≤ 90°, sorted by position:
2theta	d [Å]	I_rel
21.59	4.116	75.0
25.22	3.531	73.0
27.39	3.257	28.2
35.14	2.554	100.0
35.45	2.532	29.3
37.57	2.394	24.5
44.00	2.058	31.4
45.37	1.999	14.4
51.16	1.785	33.6
52.61	1.740	18.6
61.22	1.514	18.4
63.45	1.466	17.5